No. 1
Sn5Te3O18: computed powder diffractogram (CuKα), based on a GGA-PBE-relaxed structure.

Largest 12 diffraction maxima, in order of rising 2θ, 2θ = 15–90°:
| 2theta | intensity | index |
| --- | --- | --- |
| 19.81 | 100 | 3 1 0 |
| 22.18 | 37 | 3 1 1 |
| 23.69 | 45 | 2 2 -1 |
| 28.80 | 43 | 2 2 2 |
| 29.77 | 31 | 3 1 -3 |
| 33.15 | 59 | 4 2 -2 |
| 34.03 | 65 | 1 3 -2 |
| 34.77 | 37 | 6 0 0 |
| 39.14 | 35 | 3 3 2 |
| 46.42 | 43 | 5 3 2 |
| 52.36 | 36 | 7 3 -2 |
| 58.48 | 35 | 1 3 -6 |

Structural model:
```
data_Sn5Te3O18
_space_group_name_H-M_alt 'C 1 2/c 1'
_space_group_IT_number 15
_cell_length_a 15.588
_cell_length_b 9.053
_cell_length_c 11.110
_cell_angle_alpha 90.00
_cell_angle_beta 96.94
_cell_angle_gamma 90.00
loop_
_space_group_symop_operation_xyz
'x,y,z'
'-x,-y,-z'
'-x,y,-z+1/2'
'x,-y,z+1/2'
'x+1/2,y+1/2,z'
'-x+1/2,-y+1/2,-z'
'-x+1/2,y+1/2,-z+1/2'
'x+1/2,-y+1/2,z+1/2'
loop_
_atom_site_label
_atom_site_type_symbol
_atom_site_fract_x
_atom_site_fract_y
_atom_site_fract_z
_atom_site_occupancy
Sn1 Sn 0.000 0.180 0.250 1
Sn2 Sn 0.155 0.152 0.770 1
Sn3 Sn 0.155 0.327 0.035 1
Te1 Te 0.000 0.000 0.000 1
Te2 Te 0.169 0.490 0.293 1
O1 O 0.058 0.173 0.417 1
O2 O 0.076 0.000 0.182 1
O3 O 0.094 0.342 0.194 1
O4 O 0.096 0.159 0.934 1
O5 O 0.105 0.498 0.429 1
O6 O 0.107 0.351 0.707 1
O7 O 0.238 0.321 0.888 1
O8 O 0.238 0.475 0.145 1
O9 O 0.243 0.141 0.640 1
```



No. 2
Ba2Tl3Au: computed powder diffractogram (CuKα), based on a GGA-PBE-relaxed structure.

Largest 12 diffraction maxima, in order of rising 2θ, 2θ = 15–90°:
| 2theta | intensity | index |
| --- | --- | --- |
| 21.34 | 23 | 2 0 -2 |
| 27.59 | 18 | 1 1 1 |
| 28.29 | 45 | 0 0 2 |
| 28.68 | 68 | 1 1 -2 |
| 29.40 | 40 | 3 1 -2 |
| 29.68 | 26 | 4 0 -2 |
| 33.26 | 18 | 2 0 -3 |
| 33.93 | 100 | 3 1 0 |
| 34.15 | 82 | 0 2 0 |
| 39.61 | 19 | 1 1 2 |
| 56.07 | 19 | 7 1 -3 |
| 60.96 | 19 | 3 3 0 |

Structural model:
```
data_Ba2Tl3Au
_space_group_name_H-M_alt 'C 1 m 1'
_space_group_IT_number 8
_cell_length_a 12.096
_cell_length_b 5.255
_cell_length_c 8.338
_cell_angle_alpha 90.00
_cell_angle_beta 130.71
_cell_angle_gamma 90.00
loop_
_space_group_symop_operation_xyz
'x,y,z'
'x,-y,z'
'x+1/2,y+1/2,z'
'x+1/2,-y+1/2,z'
loop_
_atom_site_label
_atom_site_type_symbol
_atom_site_fract_x
_atom_site_fract_y
_atom_site_fract_z
_atom_site_occupancy
Ba1 Ba 0.000 0.000 0.000 1
Ba2 Ba 0.083 0.000 0.588 1
Tl1 Tl 0.195 0.500 0.994 1
Tl2 Tl 0.221 0.500 0.413 1
Tl3 Tl 0.379 0.000 0.191 1
Au1 Au 0.374 0.000 0.589 1
```



No. 3
MnSb: computed powder diffractogram (CuKα), based on a GGA-PBE-relaxed structure.

Largest 9 diffraction maxima, in order of rising 2θ, 2θ = 15–90°:
| 2theta | intensity | index |
| --- | --- | --- |
| 27.64 | 25 | 1 1 1 |
| 32.02 | 100 | 2 0 0 |
| 45.92 | 71 | 2 2 0 |
| 54.44 | 12 | 3 1 1 |
| 57.07 | 24 | 2 2 2 |
| 66.96 | 11 | 4 0 0 |
| 73.90 | 5 | 3 3 1 |
| 76.16 | 30 | 4 2 0 |
| 85.00 | 23 | 4 2 2 |

Structural model:
```
data_MnSb
_space_group_name_H-M_alt 'F m -3 m'
_space_group_IT_number 225
_space_group_name_Hall '-F 4 2 3'
_cell_length_a 5.590
_cell_length_b 5.590
_cell_length_c 5.590
_cell_angle_alpha 90.00
_cell_angle_beta 90.00
_cell_angle_gamma 90.00
loop_
_atom_site_label
_atom_site_type_symbol
_atom_site_fract_x
_atom_site_fract_y
_atom_site_fract_z
_atom_site_occupancy
Mn1 Mn 0.000 0.000 0.000 1
Sb1 Sb 0.000 0.000 0.500 1
```



No. 4
MgPt7: computed powder diffractogram (CuKα), based on a GGA-PBE-relaxed structure.

Largest 12 diffraction maxima, in order of rising 2θ, 2θ = 15–90°:
| 2theta | intensity | index |
| --- | --- | --- |
| 19.35 | 9 | 1 1 1 |
| 22.38 | 5 | 2 0 0 |
| 31.86 | 4 | 2 2 0 |
| 37.54 | 5 | 3 1 1 |
| 39.28 | 100 | 2 2 2 |
| 45.67 | 49 | 4 0 0 |
| 50.04 | 2 | 3 3 1 |
| 51.43 | 2 | 4 2 0 |
| 60.55 | 2 | 5 1 1 |
| 66.58 | 32 | 4 4 0 |
| 80.12 | 39 | 6 2 2 |
| 84.47 | 12 | 4 4 4 |

Structural model:
```
data_MgPt7
_space_group_name_H-M_alt 'F m -3 m'
_space_group_IT_number 225
_space_group_name_Hall '-F 4 2 3'
_cell_length_a 7.946
_cell_length_b 7.946
_cell_length_c 7.946
_cell_angle_alpha 90.00
_cell_angle_beta 90.00
_cell_angle_gamma 90.00
loop_
_atom_site_label
_atom_site_type_symbol
_atom_site_fract_x
_atom_site_fract_y
_atom_site_fract_z
_atom_site_occupancy
Mg1 Mg 0.000 0.000 0.000 1
Pt1 Pt 0.000 0.000 0.500 1
Pt2 Pt 0.000 0.250 0.250 1
```



No. 5
MgBi4O8: computed powder diffractogram (CuKα), based on a GGA-PBE-relaxed structure.

Largest 12 diffraction maxima, in order of rising 2θ, 2θ = 15–90°:
| 2theta | intensity | index |
| --- | --- | --- |
| 17.45 | 100 | 2 0 -2 |
| 20.41 | 28 | 2 0 1 |
| 25.09 | 74 | 4 0 0 |
| 27.29 | 34 | 4 0 -3 |
| 30.35 | 81 | 1 1 1 |
| 30.63 | 91 | 3 1 -1 |
| 31.92 | 40 | 0 0 3 |
| 32.21 | 30 | 1 1 -2 |
| 32.46 | 33 | 3 1 -2 |
| 44.82 | 61 | 3 1 -4 |
| 45.26 | 39 | 6 0 -5 |
| 48.01 | 36 | 7 1 -1 |

Structural model:
```
data_MgBi4O8
_space_group_name_H-M_alt 'C 1 m 1'
_space_group_IT_number 8
_cell_length_a 17.162
_cell_length_b 3.394
_cell_length_c 10.169
_cell_angle_alpha 90.00
_cell_angle_beta 124.20
_cell_angle_gamma 90.00
loop_
_space_group_symop_operation_xyz
'x,y,z'
'x,-y,z'
'x+1/2,y+1/2,z'
'x+1/2,-y+1/2,z'
loop_
_atom_site_label
_atom_site_type_symbol
_atom_site_fract_x
_atom_site_fract_y
_atom_site_fract_z
_atom_site_occupancy
Mg1 Mg 0.000 0.000 0.000 1
Bi1 Bi 0.053 0.000 0.729 1
Bi2 Bi 0.054 0.500 0.371 1
Bi3 Bi 0.324 0.500 0.025 1
Bi4 Bi 0.344 0.000 0.661 1
O1 O 0.003 0.500 0.862 1
O2 O 0.007 0.500 0.128 1
O3 O 0.072 0.500 0.603 1
O4 O 0.151 0.000 0.444 1
O5 O 0.226 0.000 0.953 1
O6 O 0.356 0.500 0.841 1
O7 O 0.397 0.500 0.581 1
O8 O 0.456 0.500 0.311 1
```